(1)
Calculated XRD peak list
Compound: SmDyMgZn
Radiation: copper Kα
Structure: a structure optimized by DFT (GGA-PBE)
Intensities are scaled so that the largest is 100.

Structure:
```
4
Lattice="3.6303 0.0000 0.0000 0.0000 3.6303 0.0000 0.0000 0.0000 7.7874" Properties=species:S:1:pos:R:3 pbc="T T T"
Sm 0.0000 0.0000 0.0000
Dy 0.0000 0.0000 4.2973
Mg 1.8151 1.8151 2.1973
Zn 1.8151 1.8151 5.9515
```

Main lines, sorted by position (2θ from 10° to 90°):
Position (°2θ)  intensity
11.4  19.6
22.8  17.0
24.5  33.3
33.8  100.0
35.0  49.6
42.2  13.9
42.8  12.5
50.3  17.6
59.6  14.6
61.9  34.2

(2)
Calculated XRD peak list
Compound: DyMgSn3
Radiation: copper Kα
Structure: a structure optimized by DFT (GGA-PBE)
Intensities are scaled so that the largest is 100.

Structure:
```
20
Lattice="13.0933 0.0000 0.0000 0.0000 6.1945 0.0000 0.0000 0.0000 6.2897" Properties=species:S:1:pos:R:3 pbc="T T T"
Dy 2.4575 0.0203 1.5724
Dy 2.4575 3.0770 4.7173
Dy 10.6358 3.1175 1.5724
Dy 10.6358 6.1742 4.7173
Mg 5.0688 1.5486 0.0000
Mg 5.0688 1.5486 3.1449
Mg 8.0245 4.6459 0.0000
Mg 8.0245 4.6459 3.1449
Sn 13.0886 1.5486 0.0000
Sn 13.0886 1.5486 3.1449
Sn 0.0048 4.6459 0.0000
Sn 0.0048 4.6459 3.1449
Sn 3.0011 3.1322 1.5724
Sn 3.0011 6.1596 4.7173
Sn 5.4553 4.3283 4.7173
Sn 5.4553 4.9634 1.5724
Sn 7.6380 1.2311 4.7173
Sn 7.6380 1.8662 1.5724
Sn 10.0922 0.0349 1.5724
Sn 10.0922 3.0623 4.7173
```

Main lines, sorted by position (2θ from 10° to 90°):
Position (°2θ)  intensity
28.4  27.1
31.6  55.2
32.0  100.0
34.2  57.0
35.2  53.8
35.5  50.0
40.9  34.5
41.5  42.0
58.8  26.2
68.4  23.4

(3)
Calculated XRD peak list
Compound: DyMgTlSn
Radiation: copper Kα
Structure: a structure optimized by DFT (GGA-PBE)
Intensities are scaled so that the largest is 100.

Structure:
```
4
Lattice="4.3969 0.0000 0.0000 0.0000 4.6706 0.0000 0.0000 0.0000 4.8979" Properties=species:S:1:pos:R:3 pbc="T T T"
Dy 0.0000 0.0000 0.0000
Mg 0.0000 2.3353 2.4490
Tl 2.1984 0.0000 2.4490
Sn 2.1984 2.3353 0.0000
```

Main lines, sorted by position (2θ from 10° to 90°):
Position (°2θ)  intensity
19.0  17.4
27.3  14.7
33.4  100.0
36.7  19.5
38.6  17.1
41.1  14.3
54.3  12.8
64.0  15.7
66.5  15.2
70.0  12.1

(4)
Calculated XRD peak list
Compound: TbDy6Mg2
Radiation: copper Kα
Structure: a structure optimized by DFT (GGA-PBE)
Intensities are scaled so that the largest is 100.

Structure:
```
9
Lattice="3.3119 1.9121 7.2332 -3.3119 1.9121 7.2332 0.0000 -3.8242 7.2332" Properties=species:S:1:pos:R:3 pbc="T T T"
Tb 0.0000 0.0000 0.0000
Dy -1.5319 -1.2035 8.4335
Dy -1.8062 -0.6554 11.8497
Dy -0.2763 1.9284 8.4334
Dy 1.8082 -0.7249 8.4334
Dy 1.4707 -1.2365 11.8497
Dy 0.3355 1.8919 11.8497
Mg 0.0000 0.0000 3.0243
Mg 0.0000 0.0000 5.8977
```

Main lines, sorted by position (2θ from 10° to 90°):
Position (°2θ)  intensity
17.5  18.7
24.6  56.5
29.7  44.7
31.5  100.0
32.3  27.7
32.8  25.2
35.4  21.3
36.8  33.1
37.6  41.3
43.0  20.0

(5)
Calculated XRD peak list
Compound: Tb4Dy2Mg
Radiation: copper Kα
Structure: a structure optimized by DFT (GGA-PBE)
Intensities are scaled so that the largest is 100.

Structure:
```
28
Lattice="6.6657 -10.0442 0.0000 6.6657 10.0442 0.0000 0.0000 0.0000 6.6982" Properties=species:S:1:pos:R:3 pbc="T T T"
Tb 2.2817 2.4028 3.3108
Tb 5.7741 6.7411 6.6711
Tb 4.3840 2.4028 6.6599
Tb 7.5573 6.7411 3.3762
Tb 5.7741 3.3031 3.3762
Tb 2.2817 -2.4028 6.6599
Tb 7.5573 3.3031 6.6711
Tb 4.3840 -2.4028 3.3108
Tb 8.9474 2.4028 3.3874
Tb 5.7741 -3.3031 0.0271
Tb 11.0498 2.4028 0.0383
Tb 7.5573 -3.3031 3.3220
Tb 5.7741 -6.7411 3.3220
Tb 8.9474 -2.4028 0.0383
Tb 7.5573 -6.7411 0.0271
Tb 11.0498 -2.4028 3.3874
Dy 6.6657 -10.0440 1.6745
Dy 6.6657 10.0440 5.0236
Dy 3.4078 5.0221 1.6745
Dy 9.9237 5.0221 1.6745
Dy 6.6657 -0.0003 1.6745
Dy 6.6657 0.0003 5.0236
Dy 3.4078 -5.0221 5.0236
Dy 9.9237 -5.0221 5.0236
Mg 3.3329 0.0000 1.6220
Mg 3.3329 0.0000 4.9710
Mg 9.9986 0.0000 1.7271
Mg 9.9986 0.0000 5.0762
```

Main lines, sorted by position (2θ from 10° to 90°):
Position (°2θ)  intensity
16.0  17.1
25.9  18.0
29.9  34.2
31.2  100.0
32.1  66.4
32.2  22.8
38.1  18.6
50.0  17.8
56.8  17.3
62.3  22.4

(6)
Calculated XRD peak list
Compound: TbDyMg3
Radiation: copper Kα
Structure: a structure optimized by DFT (GGA-PBE)
Intensities are scaled so that the largest is 100.

Structure:
```
20
Lattice="10.1763 -5.2297 0.0000 10.1763 5.2297 0.0000 -1.3165 0.0000 5.0091" Properties=species:S:1:pos:R:3 pbc="T T T"
Tb 3.4545 1.2737 2.2458
Tb 2.7963 -1.2737 4.7504
Tb 16.2399 1.2737 0.2587
Tb 15.5817 -1.2737 2.7632
Dy 9.1890 3.9035 3.7568
Dy 9.8472 1.3401 1.2523
Dy 9.1890 -1.3401 3.7568
Dy 9.8472 -3.9035 1.2523
Mg 7.9759 3.9306 0.7610
Mg 6.1573 1.4953 0.2776
Mg 11.7186 3.9306 1.7435
Mg 7.0915 1.2071 3.2027
Mg 5.4991 -1.4953 2.7821
Mg 11.2864 1.2071 4.3109
Mg 7.7498 -1.2071 0.6981
Mg 13.5371 1.4953 2.2269
Mg 11.9447 -1.2071 1.8064
Mg 7.3176 -3.9306 3.2656
Mg 12.8789 -1.4953 4.7315
Mg 11.0603 -3.9306 4.2480
```

Main lines, sorted by position (2θ from 10° to 90°):
Position (°2θ)  intensity
15.9  10.6
18.0  19.4
21.2  11.3
24.6  44.2
33.3  100.0
34.3  24.7
34.6  22.9
49.5  17.5
60.8  17.3
61.2  17.4

(7)
Calculated XRD peak list
Compound: Tb4Dy5Mg2
Radiation: copper Kα
Structure: a structure optimized by DFT (GGA-PBE)
Intensities are scaled so that the largest is 100.

Structure:
```
11
Lattice="3.4758 0.0000 0.0000 -1.7282 8.4663 0.0000 -0.0066 -1.1784 11.4032" Properties=species:S:1:pos:R:3 pbc="T T T"
Tb -0.0026 0.3348 3.2612
Tb 0.0088 5.9594 2.1286
Tb 1.7322 1.3285 9.2746
Tb 1.7436 6.9531 8.1420
Dy 0.0040 2.9216 0.8786
Dy -0.0056 3.6960 7.3579
Dy 1.7379 0.0000 0.0000
Dy 1.7466 3.5919 4.0453
Dy 1.7370 4.3663 10.5245
Mg 0.0239 6.3836 5.2511
Mg 1.7171 0.9043 6.1521
```

Main lines, sorted by position (2θ from 10° to 90°):
Position (°2θ)  intensity
30.9  45.9
31.7  54.7
32.1  100.0
33.4  98.8
42.8  16.0
48.5  21.9
58.8  16.6
59.0  16.6
63.0  21.6
63.8  15.9

(8)
Calculated XRD peak list
Compound: Tb3Dy2Mg
Radiation: copper Kα
Structure: a structure optimized by DFT (GGA-PBE)
Intensities are scaled so that the largest is 100.

Structure:
```
12
Lattice="6.6890 0.0000 0.0000 2.4713 6.2185 0.0000 2.2899 1.5574 8.8441" Properties=species:S:1:pos:R:3 pbc="T T T"
Tb 1.1468 0.7729 1.8547
Tb 3.4339 2.3336 4.4213
Tb 6.9567 6.9935 7.6777
Tb 4.4935 0.7824 1.1665
Tb 8.0163 5.4423 4.4229
Tb 10.3034 7.0029 6.9894
Dy 2.3763 3.8830 1.1710
Dy 5.7270 3.8839 6.9972
Dy 5.7232 3.8919 1.8469
Dy 9.0739 3.8929 7.6731
Mg 4.6755 5.4356 4.4269
Mg 6.7747 2.3403 4.4172
```

Main lines, sorted by position (2θ from 10° to 90°):
Position (°2θ)  intensity
25.8  10.6
30.0  21.3
30.3  21.6
32.3  28.3
32.6  100.0
44.9  14.7
47.7  10.7
57.8  19.5
58.8  11.4
59.5  9.9

(9)
Calculated XRD peak list
Compound: Tb4Dy6Mg
Radiation: copper Kα
Structure: a structure optimized by DFT (GGA-PBE)
Intensities are scaled so that the largest is 100.

Structure:
```
11
Lattice="-3.2386 3.2386 8.4970 3.2386 -3.2386 8.4970 3.2386 3.2386 -8.4970" Properties=species:S:1:pos:R:3 pbc="T T T"
Tb 2.1068 2.1068 -2.2696
Tb 1.1318 -1.1318 10.7666
Tb 1.1318 1.1318 6.2274
Tb -1.1318 1.1318 10.7666
Dy 3.2386 0.0000 0.0000
Dy 2.0504 -2.0504 5.6013
Dy 1.1881 1.1881 2.8957
Dy 0.0000 3.2386 0.0000
Dy -2.0504 2.0504 5.6013
Dy 2.0504 2.0504 11.3927
Mg 0.0000 0.0000 0.0000
```

Main lines, sorted by position (2θ from 10° to 90°):
Position (°2θ)  intensity
22.0  31.3
28.7  43.6
29.5  42.7
31.3  100.0
31.6  32.7
34.8  65.4
40.9  53.9
44.2  25.5
59.1  26.3
65.4  22.6

(10)
Calculated XRD peak list
Compound: Tb4Dy4Mg
Radiation: copper Kα
Structure: a structure optimized by DFT (GGA-PBE)
Intensities are scaled so that the largest is 100.

Structure:
```
18
Lattice="3.0931 -8.6151 0.0000 3.0931 8.6151 0.0000 -1.3538 0.0000 10.4652" Properties=species:S:1:pos:R:3 pbc="T T T"
Tb 2.1465 6.1671 6.9791
Tb 3.0931 6.1402 0.0000
Tb 2.6859 6.1671 3.4862
Tb 2.4162 3.1756 5.2326
Tb 2.4162 -3.1756 5.2326
Tb 2.1465 -6.1671 6.9791
Tb 3.0931 -6.1402 0.0000
Tb 2.6859 -6.1671 3.4862
Dy 0.4966 0.0000 9.2551
Dy 0.9526 0.0000 5.8248
Dy 1.9411 3.1490 8.7171
Dy 2.8913 3.1490 1.7482
Dy 1.9411 -3.1490 8.7171
Dy 2.8913 -3.1490 1.7482
Dy 3.8797 0.0000 4.6404
Dy 4.3358 0.0000 1.2101
Mg 1.3081 0.0000 2.2779
Mg 3.5243 0.0000 8.1873
```

Main lines, sorted by position (2θ from 10° to 90°):
Position (°2θ)  intensity
29.1  18.5
29.7  30.1
30.9  46.9
31.1  42.9
31.5  53.4
31.9  100.0
33.0  21.9
34.9  19.1
35.9  37.1
57.4  28.8

(11)
Calculated XRD peak list
Compound: Tb7Dy3Mg2
Radiation: copper Kα
Structure: a structure optimized by DFT (GGA-PBE)
Intensities are scaled so that the largest is 100.

Structure:
```
12
Lattice="5.7533 0.0000 0.0000 0.0000 3.5333 0.0000 -1.1511 0.0000 18.4181" Properties=species:S:1:pos:R:3 pbc="T T T"
Tb 0.0000 0.0000 0.0000
Tb 0.8395 1.7666 3.1515
Tb 0.8638 1.7666 9.8912
Tb 0.8749 0.0000 15.6933
Tb 3.7274 0.0000 2.7248
Tb 3.7385 1.7666 8.5269
Tb 3.7628 1.7666 15.2666
Dy 0.8650 0.0000 6.7716
Dy 2.8766 1.7666 0.0000
Dy 3.7372 0.0000 11.6465
Mg 0.8707 1.7666 12.9959
Mg 3.7316 1.7666 5.4222
```

Main lines, sorted by position (2θ from 10° to 90°):
Position (°2θ)  intensity
29.1  45.4
31.2  47.8
31.6  100.0
31.9  21.7
32.2  20.3
32.7  37.2
33.6  18.0
35.1  19.3
38.0  33.7
50.7  20.2

(12)
Calculated XRD peak list
Compound: Tb5Dy4Mg2
Radiation: copper Kα
Structure: a structure optimized by DFT (GGA-PBE)
Intensities are scaled so that the largest is 100.

Structure:
```
11
Lattice="3.4756 0.0000 0.0000 -1.7249 8.4799 0.0000 -0.0164 -1.1732 11.3997" Properties=species:S:1:pos:R:3 pbc="T T T"
Tb 0.0000 0.0000 0.0000
Tb 0.0080 3.6015 4.0517
Tb -0.0099 4.3825 10.5256
Tb 1.7442 2.9241 0.8741
Tb 1.7263 3.7051 7.3480
Dy -0.0133 1.3374 9.2631
Dy 0.0001 6.9791 8.1418
Dy 1.7342 0.3275 3.2579
Dy 1.7476 5.9692 2.1366
Mg -0.0252 0.8960 6.1492
Mg 1.7595 6.4107 5.2504
```

Main lines, sorted by position (2θ from 10° to 90°):
Position (°2θ)  intensity
30.9  62.3
31.7  74.3
32.0  69.7
32.1  67.5
33.3  100.0
33.4  35.6
42.8  21.4
48.5  30.2
59.0  22.7
63.8  21.7